[1]
# BaH6C4O10
Calculated XRD peak list, Cu Kα (λ = 1.5418 Å). Input: a DFT-relaxed cell (GGA-PBE, Alexandria).
Kinematic intensities with the Lorentz-polarization factor, no thermal factor.

Structural model:
```
data_BaH6C4O10
_chemical_formula_sum 'Ba4 H24 C16 O40'
_space_group_name_H-M_alt 'C 1 2/c 1'
_space_group_IT_number 15
_space_group_name_Hall '-C 2yc'
_cell_length_a 14.5540
_cell_length_b 5.5183
_cell_length_c 12.7481
_cell_angle_alpha 90.00
_cell_angle_beta 115.37
_cell_angle_gamma 90.00
loop_
_atom_site_label
_atom_site_type_symbol
_atom_site_fract_x
_atom_site_fract_y
_atom_site_fract_z
Ba1 Ba 0.0000 0.1586 0.2500
H1 H 0.1063 0.0955 0.0345
H2 H 0.1816 0.2884 0.8033
H3 H 0.2183 0.1115 0.7334
C1 C 0.0255 0.3976 0.9807
C2 C 0.2330 0.1622 0.5366
O1 O 0.0213 0.3905 0.8821
O2 O 0.0720 0.2393 0.0640
O3 O 0.1404 0.0924 0.4867
O4 O 0.1736 0.1219 0.7730
O5 O 0.2037 0.3956 0.3629
```

The 12 most intense peaks (2θ from 5° to 70°), in order of rising 2θ:
d = 6.575 Å, 13.5°, I = 95, hkl 2 0 0; d = 5.712 Å, 15.5°, I = 53, hkl 2 0 -2; d = 4.969 Å, 17.9°, I = 100, hkl 1 1 -1; d = 3.534 Å, 25.2°, I = 34, hkl 1 1 2; d = 3.512 Å, 25.4°, I = 33, hkl 3 1 -2; d = 3.288 Å, 27.1°, I = 31, hkl 4 0 0; d = 3.134 Å, 28.5°, I = 59, hkl 3 1 -3; d = 3.024 Å, 29.5°, I = 59, hkl 3 1 1; d = 2.576 Å, 34.8°, I = 63, hkl 2 2 -1; d = 2.402 Å, 37.4°, I = 27, hkl 2 2 1; d = 2.303 Å, 39.1°, I = 29, hkl 3 1 -5; d = 2.113 Å, 42.8°, I = 28, hkl 4 2 -3



[2]
# Ba2HgC
Calculated XRD peak list, Cu Kα (λ = 1.5418 Å). Input: a DFT-relaxed cell (GGA-PBE, Alexandria).
Kinematic intensities with the Lorentz-polarization factor, no thermal factor.

Structural model:
```
data_Ba2HgC
_chemical_formula_sum 'Ba4 Hg2 C2'
_space_group_name_H-M_alt 'P -1'
_space_group_IT_number 2
_space_group_name_Hall '-P 1'
_cell_length_a 4.3266
_cell_length_b 8.4325
_cell_length_c 8.8681
_cell_angle_alpha 109.49
_cell_angle_beta 104.02
_cell_angle_gamma 90.09
loop_
_atom_site_label
_atom_site_type_symbol
_atom_site_fract_x
_atom_site_fract_y
_atom_site_fract_z
Ba1 Ba 0.0226 0.2725 0.0468
Ba2 Ba 0.2869 0.2664 0.5779
Hg1 Hg 0.3820 0.9414 0.7608
C1 C 0.4601 0.4620 0.9214
```

The 12 most intense peaks (2θ from 5° to 70°), in order of rising 2θ:
d = 7.917 Å, 11.2°, I = 63, hkl 0 1 0; d = 3.567 Å, 25.0°, I = 62, hkl 1 1 0; d = 3.491 Å, 25.5°, I = 59, hkl 0 2 -2; d = 3.373 Å, 26.4°, I = 100, hkl 1 0 -2; d = 3.182 Å, 28.0°, I = 66, hkl 0 1 2; d = 3.011 Å, 29.7°, I = 80, hkl 1 -2 0; d = 2.892 Å, 30.9°, I = 42, hkl 1 -2 1; d = 2.690 Å, 33.3°, I = 57, hkl 1 -1 2; d = 2.327 Å, 38.7°, I = 30, hkl 1 3 -1; d = 2.163 Å, 41.8°, I = 31, hkl 2 0 -1; d = 1.841 Å, 49.5°, I = 27, hkl 2 -2 1; d = 1.789 Å, 51.1°, I = 25, hkl -2 1 3



[3]
# BaHgC
Calculated XRD peak list, Cu Kα (λ = 1.5418 Å). Input: a DFT-relaxed cell (GGA-PBE, Alexandria).
Kinematic intensities with the Lorentz-polarization factor, no thermal factor.

Structural model:
```
data_BaHgC
_chemical_formula_sum 'Ba2 Hg2 C2'
_space_group_name_H-M_alt 'P -1'
_space_group_IT_number 2
_space_group_name_Hall '-P 1'
_cell_length_a 4.3913
_cell_length_b 4.6848
_cell_length_c 9.8453
_cell_angle_alpha 99.57
_cell_angle_beta 91.11
_cell_angle_gamma 116.10
loop_
_atom_site_label
_atom_site_type_symbol
_atom_site_fract_x
_atom_site_fract_y
_atom_site_fract_z
Ba1 Ba 0.0853 0.1917 0.3170
Hg1 Hg 0.3535 0.7115 0.0667
C1 C 0.4182 0.8539 0.4670
```

The 12 most intense peaks (2θ from 5° to 70°), in order of rising 2θ:
d = 9.655 Å, 9.2°, I = 100, hkl 0 0 1; d = 3.508 Å, 25.4°, I = 64, hkl 1 0 1; d = 3.490 Å, 25.5°, I = 70, hkl 0 1 -2; d = 3.467 Å, 25.7°, I = 67, hkl -1 1 1; d = 3.217 Å, 27.7°, I = 28, hkl 0 0 3; d = 2.896 Å, 30.9°, I = 52, hkl 1 0 2; d = 2.818 Å, 31.8°, I = 20, hkl 0 1 -3; d = 2.626 Å, 34.1°, I = 18, hkl 1 0 -3; d = 2.392 Å, 37.6°, I = 34, hkl 1 1 -1; d = 2.328 Å, 38.7°, I = 18, hkl 0 1 3; d = 2.322 Å, 38.8°, I = 32, hkl 1 -2 1; d = 2.194 Å, 41.1°, I = 28, hkl 2 -1 0



[4]
# Ba2HgC
Calculated XRD peak list, Cu Kα (λ = 1.5418 Å). Input: a DFT-relaxed cell (GGA-PBE, Alexandria).
Kinematic intensities with the Lorentz-polarization factor, no thermal factor.

Structural model:
```
data_Ba2HgC
_chemical_formula_sum 'Ba4 Hg2 C2'
_space_group_name_H-M_alt 'P -1'
_space_group_IT_number 2
_space_group_name_Hall '-P 1'
_cell_length_a 4.6814
_cell_length_b 8.1501
_cell_length_c 8.5335
_cell_angle_alpha 69.81
_cell_angle_beta 76.96
_cell_angle_gamma 75.52
loop_
_atom_site_label
_atom_site_type_symbol
_atom_site_fract_x
_atom_site_fract_y
_atom_site_fract_z
Ba1 Ba 0.0715 0.2107 0.1296
Ba2 Ba 0.2949 0.2470 0.5764
Hg1 Hg 0.3986 0.5655 0.1765
C1 C 0.1320 0.9604 0.4788
```

The 12 most intense peaks (2θ from 5° to 70°), in order of rising 2θ:
d = 7.513 Å, 11.8°, I = 68, hkl 0 1 0; d = 3.563 Å, 25.0°, I = 71, hkl 1 -1 0; d = 3.429 Å, 26.0°, I = 40, hkl 1 2 1; d = 3.273 Å, 27.2°, I = 100, hkl 0 2 2; d = 3.221 Å, 27.7°, I = 47, hkl 1 -1 1; d = 3.189 Å, 28.0°, I = 44, hkl 1 2 0; d = 3.129 Å, 28.5°, I = 44, hkl 0 1 -2; d = 3.105 Å, 28.8°, I = 41, hkl 1 2 2; d = 2.764 Å, 32.4°, I = 52, hkl 1 0 -2; d = 2.640 Å, 34.0°, I = 74, hkl 0 0 3; d = 2.488 Å, 36.1°, I = 45, hkl 0 3 2; d = 2.337 Å, 38.5°, I = 45, hkl 2 1 1



[5]
# BaCI3
Calculated XRD peak list, Cu Kα (λ = 1.5418 Å). Input: a DFT-relaxed cell (GGA-PBE, Alexandria).
Kinematic intensities with the Lorentz-polarization factor, no thermal factor.

Structural model:
```
data_BaCI3
_chemical_formula_sum 'Ba1 C1 I3'
_space_group_name_H-M_alt 'P m -3 m'
_space_group_IT_number 221
_space_group_name_Hall '-P 4 2 3'
_cell_length_a 5.3643
_cell_length_b 5.3643
_cell_length_c 5.3643
_cell_angle_alpha 90.00
_cell_angle_beta 90.00
_cell_angle_gamma 90.00
loop_
_atom_site_label
_atom_site_type_symbol
_atom_site_fract_x
_atom_site_fract_y
_atom_site_fract_z
Ba1 Ba 0.0000 0.0000 0.0000
C1 C 0.5000 0.5000 0.5000
I1 I 0.0000 0.5000 0.5000
```

The 5 most intense peaks (2θ from 5° to 70°), in order of rising 2θ:
d = 3.097 Å, 28.8°, I = 100, hkl 1 1 1; d = 2.682 Å, 33.4°, I = 55, hkl 2 0 0; d = 1.897 Å, 48.0°, I = 39, hkl 2 2 0; d = 1.617 Å, 56.9°, I = 44, hkl 3 1 1; d = 1.549 Å, 59.7°, I = 13, hkl 2 2 2



[6]
# Ba2CI
Calculated XRD peak list, Cu Kα (λ = 1.5418 Å). Input: a DFT-relaxed cell (GGA-PBE, Alexandria).
Kinematic intensities with the Lorentz-polarization factor, no thermal factor.

Structural model:
```
data_Ba2CI
_chemical_formula_sum 'Ba8 C4 I4'
_space_group_name_H-M_alt 'I -4 2 d'
_space_group_IT_number 122
_space_group_name_Hall 'I -4 2bw'
_cell_length_a 8.1097
_cell_length_b 8.1097
_cell_length_c 9.6043
_cell_angle_alpha 90.00
_cell_angle_beta 90.00
_cell_angle_gamma 90.00
loop_
_atom_site_label
_atom_site_type_symbol
_atom_site_fract_x
_atom_site_fract_y
_atom_site_fract_z
Ba1 Ba 0.1605 0.2500 0.1250
C1 C 0.0000 0.0000 0.0000
I1 I 0.0000 0.0000 0.5000
```

The 12 most intense peaks (2θ from 5° to 70°), in order of rising 2θ:
d = 3.682 Å, 24.2°, I = 100, hkl 1 1 2; d = 3.393 Å, 26.3°, I = 87, hkl 2 1 1; d = 2.978 Å, 30.0°, I = 19, hkl 1 0 3; d = 2.867 Å, 31.2°, I = 24, hkl 2 2 0; d = 2.602 Å, 34.5°, I = 26, hkl 3 0 1; d = 2.400 Å, 37.5°, I = 15, hkl 0 0 4; d = 2.262 Å, 39.9°, I = 21, hkl 3 1 2; d = 2.190 Å, 41.2°, I = 12, hkl 3 2 1; d = 2.066 Å, 43.8°, I = 31, hkl 2 0 4; d = 1.868 Å, 48.7°, I = 15, hkl 4 0 2; d = 1.840 Å, 49.5°, I = 24, hkl 3 2 3; d = 1.599 Å, 57.6°, I = 15, hkl 4 3 1



[7]
# Ba2LiC2O6
Calculated XRD peak list, Cu Kα (λ = 1.5418 Å). Input: a DFT-relaxed cell (GGA-PBE, Alexandria).
Kinematic intensities with the Lorentz-polarization factor, no thermal factor.

Structural model:
```
data_Ba2LiC2O6
_chemical_formula_sum 'Ba2 Li1 C2 O6'
_space_group_name_H-M_alt 'P 1 m 1'
_space_group_IT_number 6
_space_group_name_Hall 'P -2y'
_cell_length_a 4.5225
_cell_length_b 5.5772
_cell_length_c 6.8999
_cell_angle_alpha 90.00
_cell_angle_beta 102.70
_cell_angle_gamma 90.00
loop_
_atom_site_label
_atom_site_type_symbol
_atom_site_fract_x
_atom_site_fract_y
_atom_site_fract_z
Ba1 Ba 0.0000 0.0000 0.0000
Ba2 Ba 0.2751 0.5000 0.5130
Li1 Li 0.4766 0.0000 0.6105
C1 C 0.3856 0.5000 0.9894
C2 C 0.9532 0.0000 0.5509
O1 O 0.1173 0.0000 0.4053
O2 O 0.2135 0.5000 0.1180
O3 O 0.4637 0.2967 0.9212
O4 O 0.8017 0.2064 0.5744
```

The 12 most intense peaks (2θ from 5° to 70°), in order of rising 2θ:
d = 4.412 Å, 20.1°, I = 44, hkl 1 0 0; d = 4.295 Å, 20.7°, I = 97, hkl 0 1 1; d = 4.130 Å, 21.5°, I = 27, hkl 1 0 -1; d = 3.460 Å, 25.7°, I = 100, hkl 1 1 0; d = 3.366 Å, 26.5°, I = 91, hkl 0 0 2; d = 3.319 Å, 26.9°, I = 39, hkl 1 1 -1; d = 2.789 Å, 32.1°, I = 33, hkl 0 2 0; d = 2.357 Å, 38.2°, I = 31, hkl 1 2 0; d = 2.247 Å, 40.1°, I = 27, hkl 2 0 -1; d = 2.228 Å, 40.5°, I = 38, hkl 1 1 2; d = 2.147 Å, 42.1°, I = 50, hkl 0 2 2; d = 2.050 Å, 44.2°, I = 71, hkl 2 1 0



[8]
# Ba2LiC2O6
Calculated XRD peak list, Cu Kα (λ = 1.5418 Å). Input: a DFT-relaxed cell (GGA-PBE, Alexandria).
Kinematic intensities with the Lorentz-polarization factor, no thermal factor.

Structural model:
```
data_Ba2LiC2O6
_chemical_formula_sum 'Ba2 Li1 C2 O6'
_space_group_name_H-M_alt 'P 1 m 1'
_space_group_IT_number 6
_space_group_name_Hall 'P -2y'
_cell_length_a 4.4401
_cell_length_b 5.4246
_cell_length_c 6.9334
_cell_angle_alpha 90.00
_cell_angle_beta 108.44
_cell_angle_gamma 90.00
loop_
_atom_site_label
_atom_site_type_symbol
_atom_site_fract_x
_atom_site_fract_y
_atom_site_fract_z
Ba1 Ba 0.0000 0.0000 0.0000
Ba2 Ba 0.0783 0.5000 0.5565
Li1 Li 0.7039 0.0000 0.3900
C1 C 0.4367 0.0000 0.6123
C2 C 0.4805 0.5000 0.1129
O1 O 0.1657 0.0000 0.4459
O2 O 0.2020 0.5000 0.9765
O3 O 0.6148 0.2108 0.6367
O4 O 0.6186 0.2914 0.1827
```

The 12 most intense peaks (2θ from 5° to 70°), in order of rising 2θ:
d = 4.212 Å, 21.1°, I = 37, hkl 1 0 0; d = 4.185 Å, 21.2°, I = 73, hkl 0 1 1; d = 3.322 Å, 26.8°, I = 100, hkl 1 1 -1; d = 3.289 Å, 27.1°, I = 44, hkl 0 0 2; d = 3.113 Å, 28.7°, I = 33, hkl 1 0 -2; d = 2.710 Å, 33.1°, I = 63, hkl 0 2 0; d = 2.280 Å, 39.5°, I = 39, hkl 1 2 0; d = 2.092 Å, 43.2°, I = 33, hkl 0 2 2; d = 2.086 Å, 43.4°, I = 20, hkl 1 1 -3; d = 2.046 Å, 44.3°, I = 26, hkl 1 2 -2; d = 1.740 Å, 52.6°, I = 24, hkl 2 1 -3; d = 1.662 Å, 55.3°, I = 20, hkl 1 3 -1



[9]
# Ba3MgC2N6
Calculated XRD peak list, Cu Kα (λ = 1.5418 Å). Input: a DFT-relaxed cell (GGA-PBE, Alexandria).
Kinematic intensities with the Lorentz-polarization factor, no thermal factor.

Structural model:
```
data_Ba3MgC2N6
_chemical_formula_sum 'Ba3 Mg1 C2 N6'
_space_group_name_H-M_alt 'P -3 m 1'
_space_group_IT_number 164
_space_group_name_Hall '-P 3 2"'
_cell_length_a 5.7088
_cell_length_b 5.7088
_cell_length_c 6.9371
_cell_angle_alpha 90.00
_cell_angle_beta 90.00
_cell_angle_gamma 120.00
loop_
_atom_site_label
_atom_site_type_symbol
_atom_site_fract_x
_atom_site_fract_y
_atom_site_fract_z
Ba1 Ba 0.0000 0.0000 0.0000
Ba2 Ba 0.3333 0.6667 0.6811
Mg1 Mg 0.0000 0.0000 0.5000
C1 C 0.3333 0.6667 0.2879
N1 N 0.1949 0.3899 0.2943
```

The 12 most intense peaks (2θ from 5° to 70°), in order of rising 2θ:
d = 4.026 Å, 22.1°, I = 100, hkl 1 0 1; d = 2.854 Å, 31.3°, I = 75, hkl 1 1 0; d = 2.839 Å, 31.5°, I = 72, hkl 0 1 2; d = 2.329 Å, 38.7°, I = 43, hkl 0 2 1; d = 2.312 Å, 38.9°, I = 14, hkl 0 0 3; d = 2.013 Å, 45.0°, I = 35, hkl 2 0 2; d = 1.804 Å, 50.6°, I = 26, hkl 2 1 1; d = 1.797 Å, 50.8°, I = 28, hkl 1 1 3; d = 1.648 Å, 55.8°, I = 14, hkl 3 0 0; d = 1.645 Å, 55.9°, I = 25, hkl 1 2 2; d = 1.427 Å, 65.4°, I = 11, hkl 2 2 0; d = 1.345 Å, 69.9°, I = 11, hkl 1 3 1



[10]
# BaMg6CO8
Calculated XRD peak list, Cu Kα (λ = 1.5418 Å). Input: a DFT-relaxed cell (GGA-PBE, Alexandria).
Kinematic intensities with the Lorentz-polarization factor, no thermal factor.

Structural model:
```
data_BaMg6CO8
_chemical_formula_sum 'Ba1 Mg6 C1 O8'
_space_group_name_H-M_alt 'P 4/m m m'
_space_group_IT_number 123
_space_group_name_Hall '-P 4 2'
_cell_length_a 4.5576
_cell_length_b 4.5576
_cell_length_c 9.0033
_cell_angle_alpha 90.00
_cell_angle_beta 90.00
_cell_angle_gamma 90.00
loop_
_atom_site_label
_atom_site_type_symbol
_atom_site_fract_x
_atom_site_fract_y
_atom_site_fract_z
Ba1 Ba 0.0000 0.0000 0.0000
Mg1 Mg 0.0000 0.0000 0.5000
Mg2 Mg 0.0000 0.5000 0.2687
Mg3 Mg 0.5000 0.5000 0.5000
C1 C 0.5000 0.5000 0.0000
O1 O 0.0000 0.0000 0.2821
O2 O 0.0000 0.5000 0.0000
O3 O 0.0000 0.5000 0.5000
O4 O 0.5000 0.5000 0.2625
```

The 12 most intense peaks (2θ from 5° to 70°), in order of rising 2θ:
d = 9.003 Å, 9.8°, I = 35, hkl 0 0 1; d = 4.558 Å, 19.5°, I = 48, hkl 1 0 0; d = 4.066 Å, 21.9°, I = 68, hkl 1 0 1; d = 3.203 Å, 27.9°, I = 43, hkl 1 0 2; d = 3.034 Å, 29.4°, I = 22, hkl 1 1 1; d = 2.620 Å, 34.2°, I = 44, hkl 1 1 2; d = 2.506 Å, 35.8°, I = 26, hkl 1 0 3; d = 2.279 Å, 39.5°, I = 100, hkl 2 0 0; d = 2.251 Å, 40.1°, I = 43, hkl 0 0 4; d = 1.988 Å, 45.6°, I = 21, hkl 2 1 1; d = 1.611 Å, 57.2°, I = 30, hkl 2 2 0; d = 1.601 Å, 57.6°, I = 53, hkl 2 0 4